For Rb2LiCoC6N6, a crystal structure in OQMD, relaxed with GGA-PBE gives the calculated powder XRD pattern in this record (copper Kα).

Largest 8 diffraction maxima, in order of rising 2θ, 2θ from 10° to 80°:
- (0 2 0), 2θ 24.24, d 3.672, rel. 24
- (1 1 1), 2θ 24.73, d 3.600, rel. 100
- (2 0 -2), 2θ 25.15, d 3.541, rel. 27
- (0 2 2), 2θ 30.02, d 2.976, rel. 21
- (2 0 0), 2θ 30.77, d 2.906, rel. 25
- (2 2 -2), 2θ 35.21, d 2.549, rel. 34
- (0 0 4), 2θ 35.32, d 2.542, rel. 24
- (3 1 -5), 2θ 44.05, d 2.056, rel. 23

Crystal structure
```
32
Lattice="7.0828 0.0000 0.0000 0.0000 7.3435 0.0000 -7.0547 0.0000 10.1661" Properties=species:S:1:pos:R:3 pbc="T T T"
Rb -0.0888 0.3941 2.5445
Rb -3.6161 3.2777 7.6276
Rb 3.6443 4.0658 2.5385
Rb 0.1170 6.9494 7.6215
Li -3.5273 0.0000 5.0830
Li 0.0000 3.6717 0.0000
Co 3.5414 0.0000 0.0000
Co 0.0141 3.6717 5.0830
C -5.0300 1.0583 9.9292
C -1.5026 2.6134 4.8462
C -1.0057 5.2104 4.8161
C -4.5330 5.8048 9.8991
C -3.1737 0.0697 8.3359
C 0.3536 3.6020 3.2529
C -0.3254 3.7415 6.9132
C 3.2019 7.2738 1.8301
C 4.5612 1.5387 0.2669
C 1.0339 2.1331 5.3500
C 1.5308 4.7301 5.3199
C 5.0581 6.2852 0.2369
N -5.9772 1.7361 9.7735
N -2.4498 1.9357 4.6905
N -5.1800 4.8392 9.7271
N -1.6527 6.1761 4.6441
N -2.9731 0.1330 7.1805
N 0.5542 3.5388 2.0975
N -0.5260 3.8047 8.0686
N 3.0013 7.2105 2.9856
N 1.6809 1.1674 5.5220
N 5.2082 2.5043 0.4390
N 2.4780 5.4078 5.4756
N 6.0053 5.6074 0.3926
```